(1)
Calculated powder diffraction line list
Compound: NdDy4Rh5
Radiation: Cu Kα (weighted mean of Kα1 and Kα2)
Structure: a crystal structure in Alexandria, relaxed with GGA-PBE

Structure:
Cell: 3.4149 3.4149 17.5875 Å, 90.00 90.00 90.00°
Element x y z (fractional)
Nd 0.0000 0.0000 0.0000
Dy 0.0000 0.0000 0.2040
Dy 0.0000 0.0000 0.4014
Dy 0.0000 0.0000 0.5986
Dy 0.0000 0.0000 0.7960
Rh 0.5000 0.5000 0.1080
Rh 0.5000 0.5000 0.3030
Rh 0.5000 0.5000 0.5000
Rh 0.5000 0.5000 0.6970
Rh 0.5000 0.5000 0.8920

Largest 8 diffraction maxima, low angle first, 10 to 90 degrees two-theta:
- 36.68°, intensity 1000
- 37.24°, intensity 487
- 52.00°, intensity 87
- 53.68°, intensity 169
- 65.68°, intensity 172
- 66.78°, intensity 343
- 77.99°, intensity 105
- 88.08°, intensity 73

=====

(2)
Calculated powder diffraction line list
Compound: SrPt2Cl8
Radiation: Cu Kα (weighted mean of Kα1 and Kα2)
Structure: a crystal structure in Alexandria, relaxed with GGA-PBE

Structure:
Cell: 5.4809 7.5638 7.5830 Å, 71.61 88.88 88.66°
Element x y z (fractional)
Sr 0.0000 0.0000 0.0000
Pt 0.2479 0.6028 0.6033
Pt 0.7521 0.3972 0.3967
Cl 0.2438 0.4136 0.4124
Cl 0.2605 0.8741 0.3488
Cl 0.2648 0.3455 0.8721
Cl 0.2787 0.7892 0.7921
Cl 0.7213 0.2108 0.2079
Cl 0.7352 0.6545 0.1279
Cl 0.7395 0.1259 0.6512
Cl 0.7562 0.5864 0.5876

Largest 8 diffraction maxima, low angle first, 10 to 90 degrees two-theta:
- 12.32°, intensity 1000
- 20.04°, intensity 594
- 20.23°, intensity 580
- 22.03°, intensity 563
- 32.69°, intensity 263
- 35.20°, intensity 305
- 38.02°, intensity 367
- 40.73°, intensity 238

=====

(3)
Calculated powder diffraction line list
Compound: HgBHIrAu
Radiation: Cu Kα (weighted mean of Kα1 and Kα2)
Structure: a crystal structure in Alexandria, relaxed with GGA-PBE

Structure:
Cell: 2.7963 2.8658 9.6441 Å, 98.47 98.03 90.05°
Element x y z (fractional)
Hg 0.0000 0.0000 0.0000
B 0.7636 0.7494 0.5047
H 0.6587 0.1414 0.2873
Ir 0.2181 0.2025 0.4102
Au 0.8581 0.3471 0.7016

Largest 8 diffraction maxima, low angle first, 10 to 90 degrees two-theta:
- 28.35°, intensity 1000
- 31.58°, intensity 851
- 32.37°, intensity 839
- 39.47°, intensity 670
- 40.01°, intensity 337
- 40.23°, intensity 338
- 49.39°, intensity 562
- 49.54°, intensity 523

=====

(4)
Calculated powder diffraction line list
Compound: Pm4Sm3ScS8
Radiation: Cu Kα (weighted mean of Kα1 and Kα2)
Structure: a crystal structure in Alexandria, relaxed with GGA-PBE

Structure:
Cell: 7.9823 7.9823 7.9823 Å, 59.89 59.89 59.89°
Element x y z (fractional)
Pm 0.0000 0.0000 0.0000
Pm 0.0000 0.5000 0.5000
Pm 0.5000 0.0000 0.5000
Pm 0.5000 0.5000 0.0000
Sm 0.0000 0.0000 0.5000
Sm 0.0000 0.5000 0.0000
Sm 0.5000 0.0000 0.0000
Sc 0.5000 0.5000 0.5000
S 0.2492 0.2492 0.2492
S 0.2585 0.7400 0.7400
S 0.2600 0.2600 0.7415
S 0.2600 0.7415 0.2600
S 0.7400 0.2585 0.7400
S 0.7400 0.7400 0.2585
S 0.7415 0.2600 0.2600
S 0.7508 0.7508 0.7508

Largest 8 diffraction maxima, low angle first, 10 to 90 degrees two-theta:
- 27.39°, intensity 700
- 31.73°, intensity 1000
- 45.49°, intensity 716
- 53.91°, intensity 261
- 56.57°, intensity 185
- 75.31°, intensity 156
- 75.43°, intensity 156
- 84.14°, intensity 178

=====

(5)
Calculated powder diffraction line list
Compound: Sc8GaRh2
Radiation: Cu Kα (weighted mean of Kα1 and Kα2)
Structure: a crystal structure in Alexandria, relaxed with GGA-PBE

Structure:
Cell: 7.4143 7.4143 4.9857 Å, 98.87 98.87 114.08°
Element x y z (fractional)
Sc 0.0000 0.0000 0.0000
Sc 0.0543 0.3052 0.6060
Sc 0.1462 0.6165 0.1892
Sc 0.3052 0.0543 0.6060
Sc 0.4586 0.7092 0.7714
Sc 0.6165 0.1462 0.1892
Sc 0.7092 0.4586 0.7714
Sc 0.7646 0.7646 0.3785
Ga 0.3820 0.3820 0.1908
Rh 0.0742 0.6902 0.6899
Rh 0.6902 0.0742 0.6899

Largest 8 diffraction maxima, low angle first, 10 to 90 degrees two-theta:
- 22.99°, intensity 456
- 23.47°, intensity 491
- 34.40°, intensity 606
- 35.29°, intensity 739
- 36.75°, intensity 485
- 37.09°, intensity 534
- 41.02°, intensity 1000
- 41.22°, intensity 531

=====

(6)
Calculated powder diffraction line list
Compound: BaTb2AgS4
Radiation: Cu Kα (weighted mean of Kα1 and Kα2)
Structure: a crystal structure in Alexandria, relaxed with GGA-PBE

Structure:
Cell: 7.0887 7.0887 13.9417 Å, 90.00 90.00 146.35°
Element x y z (fractional)
Ba 0.1248 0.8752 0.7500
Ba 0.8752 0.1248 0.2500
Tb 0.3752 0.6248 0.5576
Tb 0.3752 0.6248 0.9424
Tb 0.6248 0.3752 0.0576
Tb 0.6248 0.3752 0.4424
Ag 0.1495 0.8505 0.2500
Ag 0.8505 0.1495 0.7500
S 0.0000 0.0000 0.0000
S 0.0000 0.0000 0.5000
S 0.2663 0.7337 0.1082
S 0.2663 0.7337 0.3918
S 0.4528 0.5472 0.7500
S 0.5472 0.4528 0.2500
S 0.7337 0.2663 0.6082
S 0.7337 0.2663 0.8918

Largest 8 diffraction maxima, low angle first, 10 to 90 degrees two-theta:
- 23.20°, intensity 458
- 26.04°, intensity 646
- 26.27°, intensity 425
- 30.09°, intensity 273
- 32.13°, intensity 1000
- 41.96°, intensity 234
- 44.11°, intensity 456
- 44.54°, intensity 382